Entry 1:
Structure and computed powder diffractogram of BeZnCr (DFT lattice parameters and positions (PBE); Cu Kα, 1.54184 Å).
Kinematic intensities with the Lorentz-polarization factor, no thermal factor.

Most intense lines, 2θ from 5° to 70°, by angle:
2theta  Rel. int.
21.5  28
28.7  98
38.8  26
42.7  33
43.9  61
44.2  100
45.4  98
46.5  46
65.0  17
65.8  33

Structure:
```
data_BeZnCr
_cell_length_a 3.9052
_cell_length_b 5.1244
_cell_length_c 6.9680
_cell_angle_alpha 90.00
_cell_angle_beta 90.00
_cell_angle_gamma 90.00
_space_group_name_H-M_alt 'P 1'
_space_group_IT_number 1
loop_
_space_group_symop_operation_xyz
'x,y,z'
loop_
_atom_site_label
_atom_site_type_symbol
_atom_site_fract_x
_atom_site_fract_y
_atom_site_fract_z
Be1 Be 0.0000 0.0000 0.1542
Be2 Be 0.0000 0.0000 0.8458
Be3 Be 0.5000 0.5000 0.3458
Be4 Be 0.5000 0.5000 0.6542
Zn1 Zn 0.0000 0.5000 0.1748
Zn2 Zn 0.0000 0.5000 0.8252
Zn3 Zn 0.5000 0.0000 0.3252
Zn4 Zn 0.5000 0.0000 0.6748
Cr1 Cr 0.0000 0.2583 0.5000
Cr2 Cr 0.0000 0.7417 0.5000
Cr3 Cr 0.5000 0.2417 0.0000
Cr4 Cr 0.5000 0.7583 0.0000
```

Entry 2:
Structure and computed powder diffractogram of Y5Ho12Tm2 (DFT lattice parameters and positions (PBE); Cu Kα, 1.54184 Å).
Kinematic intensities with the Lorentz-polarization factor, no thermal factor.

Most intense lines, 2θ from 5° to 70°, by angle:
2theta  Rel. int.
30.8  70
31.3  57
31.6  100
31.9  80
32.0  42
33.6  54
35.9  50
39.6  28
56.0  30
59.6  29

Structure:
```
data_Y5Ho12Tm2
_cell_length_a 9.1078
_cell_length_b 9.1078
_cell_length_c 8.4852
_cell_angle_alpha 91.05
_cell_angle_beta 91.05
_cell_angle_gamma 59.87
_space_group_name_H-M_alt 'P 1'
_space_group_IT_number 1
loop_
_space_group_symop_operation_xyz
'x,y,z'
loop_
_atom_site_label
_atom_site_type_symbol
_atom_site_fract_x
_atom_site_fract_y
_atom_site_fract_z
Y1 Y 0.0000 0.0000 0.0000
Y2 Y 0.2337 0.2337 0.0731
Y3 Y 0.3011 0.3011 0.4902
Y4 Y 0.6989 0.6989 0.5098
Y5 Y 0.7663 0.7663 0.9269
Ho1 Ho 0.0288 0.6633 0.2561
Ho2 Ho 0.0912 0.0912 0.3877
Ho3 Ho 0.1797 0.5677 0.8348
Ho4 Ho 0.3367 0.9712 0.7439
Ho5 Ho 0.4323 0.8203 0.1652
Ho6 Ho 0.4433 0.4433 0.1635
Ho7 Ho 0.5567 0.5567 0.8365
Ho8 Ho 0.5677 0.1797 0.8348
Ho9 Ho 0.6633 0.0288 0.2561
Ho10 Ho 0.8203 0.4323 0.1652
Ho11 Ho 0.9088 0.9088 0.6123
Ho12 Ho 0.9712 0.3367 0.7439
Tm1 Tm 0.3226 0.6774 0.5000
Tm2 Tm 0.6774 0.3226 0.5000
```

Entry 3:
Structure and computed powder diffractogram of Cs3Li2NpBr8 (DFT lattice parameters and positions (PBE); Cu Kα, 1.54184 Å).
Kinematic intensities with the Lorentz-polarization factor, no thermal factor.

Most intense lines, 2θ from 5° to 70°, by angle:
2theta  Rel. int.
8.6  70
12.8  38
21.6  40
22.3  92
27.2  90
28.4  69
31.2  100
37.0  39
44.0  46
45.5  57

Structure:
```
data_Cs3Li2NpBr8
_cell_length_a 7.9746
_cell_length_b 7.9746
_cell_length_c 10.2572
_cell_angle_alpha 90.00
_cell_angle_beta 90.00
_cell_angle_gamma 120.00
_space_group_name_H-M_alt 'P 1'
_space_group_IT_number 1
loop_
_space_group_symop_operation_xyz
'x,y,z'
loop_
_atom_site_label
_atom_site_type_symbol
_atom_site_fract_x
_atom_site_fract_y
_atom_site_fract_z
Cs1 Cs 0.0000 0.0000 0.0000
Cs2 Cs 0.3333 0.6667 0.6477
Cs3 Cs 0.6667 0.3333 0.3523
Li1 Li 0.3333 0.6667 0.2090
Li2 Li 0.6667 0.3333 0.7910
Np1 Np 0.0000 0.0000 0.5000
Br1 Br 0.1673 0.3347 0.3331
Br2 Br 0.1673 0.8327 0.3331
Br3 Br 0.3333 0.6667 0.9787
Br4 Br 0.3347 0.1673 0.6669
Br5 Br 0.6653 0.8327 0.3331
Br6 Br 0.6667 0.3333 0.0213
Br7 Br 0.8327 0.1673 0.6669
Br8 Br 0.8327 0.6653 0.6669
```

Entry 4:
Structure and computed powder diffractogram of H6Se2Br (DFT lattice parameters and positions (PBE); Cu Kα, 1.54184 Å).
Kinematic intensities with the Lorentz-polarization factor, no thermal factor.

Most intense lines, 2θ from 5° to 70°, by angle:
2theta  Rel. int.
14.8  31
18.0  28
23.3  24
25.4  52
25.6  51
27.0  100
36.4  36
37.4  40
37.6  33
52.2  34

Structure:
```
data_H6Se2Br
_cell_length_a 7.9464
_cell_length_b 7.8964
_cell_length_c 9.8692
_cell_angle_alpha 51.70
_cell_angle_beta 51.24
_cell_angle_gamma 77.06
_space_group_name_H-M_alt 'P 1'
_space_group_IT_number 1
loop_
_space_group_symop_operation_xyz
'x,y,z'
loop_
_atom_site_label
_atom_site_type_symbol
_atom_site_fract_x
_atom_site_fract_y
_atom_site_fract_z
H1 H 0.0239 0.3539 0.9524
H2 H 0.0841 0.4159 0.1085
H3 H 0.1415 0.8585 0.1659
H4 H 0.2231 0.7193 0.7535
H5 H 0.2976 0.5802 0.2261
H6 H 0.3539 0.0239 0.6698
H7 H 0.4159 0.0841 0.3915
H8 H 0.4965 0.9460 0.0269
H9 H 0.5802 0.2976 0.8961
H10 H 0.7193 0.2231 0.3040
H11 H 0.8585 0.1415 0.8341
H12 H 0.9460 0.4965 0.5307
Se1 Se 0.2216 0.7215 0.3017
Se2 Se 0.4948 0.9483 0.5285
Se3 Se 0.7215 0.2216 0.7552
Se4 Se 0.9483 0.4948 0.0284
Br1 Br 0.0881 0.0881 0.9119
Br2 Br 0.3381 0.3381 0.1619
```

Entry 5:
Structure and computed powder diffractogram of TmBSe (DFT lattice parameters and positions (PBE); Cu Kα, 1.54184 Å).
Kinematic intensities with the Lorentz-polarization factor, no thermal factor.

Most intense lines, 2θ from 5° to 70°, by angle:
2theta  Rel. int.
7.7  85
15.5  64
30.2  100
31.8  26
35.3  95
36.8  44
40.1  37
41.9  67
47.7  21
53.3  46

Structure:
```
data_TmBSe
_cell_length_a 11.6170
_cell_length_b 11.6170
_cell_length_c 11.6170
_cell_angle_alpha 17.01
_cell_angle_beta 17.01
_cell_angle_gamma 17.01
_space_group_name_H-M_alt 'P 1'
_space_group_IT_number 1
loop_
_space_group_symop_operation_xyz
'x,y,z'
loop_
_atom_site_label
_atom_site_type_symbol
_atom_site_fract_x
_atom_site_fract_y
_atom_site_fract_z
Tm1 Tm 0.0542 0.0542 0.0542
Tm2 Tm 0.9458 0.9458 0.9458
B1 B 0.3341 0.3341 0.3341
B2 B 0.6659 0.6659 0.6659
Se1 Se 0.2218 0.2218 0.2218
Se2 Se 0.7782 0.7782 0.7782
```

Entry 6:
Structure and computed powder diffractogram of ErZn6Co6 (DFT lattice parameters and positions (PBE); Cu Kα, 1.54184 Å).
Kinematic intensities with the Lorentz-polarization factor, no thermal factor.

Most intense lines, 2θ from 5° to 70°, by angle:
2theta  Rel. int.
29.7  14
33.3  11
36.6  38
36.7  14
42.5  100
42.6  43
47.8  12
47.9  20
57.3  8
61.7  9

Structure:
```
data_ErZn6Co6
_cell_length_a 6.4991
_cell_length_b 6.4991
_cell_length_c 6.4991
_cell_angle_alpha 135.71
_cell_angle_beta 98.26
_cell_angle_gamma 98.08
_space_group_name_H-M_alt 'P 1'
_space_group_IT_number 1
loop_
_space_group_symop_operation_xyz
'x,y,z'
loop_
_atom_site_label
_atom_site_type_symbol
_atom_site_fract_x
_atom_site_fract_y
_atom_site_fract_z
Er1 Er 0.0000 0.0000 0.0000
Zn1 Zn 0.1993 0.5000 0.6993
Zn2 Zn 0.3378 0.3378 0.0000
Zn3 Zn 0.3492 0.0000 0.3492
Zn4 Zn 0.6508 0.0000 0.6508
Zn5 Zn 0.6622 0.6622 0.0000
Zn6 Zn 0.8007 0.5000 0.3007
Co1 Co 0.0000 0.0000 0.5000
Co2 Co 0.0000 0.5000 0.0000
Co3 Co 0.2345 0.7345 0.5000
Co4 Co 0.5000 0.0000 0.0000
Co5 Co 0.5000 0.5000 0.5000
Co6 Co 0.7655 0.2655 0.5000
```